MgSc4Fe4O12: simulated powder XRD pattern (Cu Kα, 1.54184 Å), based on a PBE+U-relaxed structure.
Lines closer than 0.1° are merged.

Cell and atoms:
a b c (Å): 5.1490 5.4529 8.6094
angles (deg): 91.31 92.71 91.42
Atoms (fractional coordinates):
Mg 0.0000 0.0000 0.0000
Sc 0.3466 0.7755 0.3774
Sc 0.4813 0.9326 0.8477
Sc 0.8591 0.4611 0.8572
Sc 0.9551 0.2733 0.3665
Fe 0.3662 0.3565 0.6499
Fe 0.4182 0.3452 0.1253
Fe 0.8162 0.7319 0.2264
Fe 0.9071 0.8647 0.6130
O 0.1033 0.7863 0.8238
O 0.1122 0.5600 0.5286
O 0.1285 0.5204 0.2170
O 0.1682 0.0156 0.2121
O 0.2005 0.0685 0.5340
O 0.2177 0.2702 0.8579
O 0.6098 0.4628 0.3424
O 0.6100 0.6511 0.6953
O 0.6874 0.7232 0.0056
O 0.6936 0.1607 0.7031
O 0.7026 0.2106 0.0078
O 0.7221 0.9446 0.4061

Most intense lines, 5 to 70 degrees two-theta, most intense first:
Position (°2θ)	I_rel
31.2	100
32.8	70
31.8	43
38.8	36
40.0	28
42.6	23